Theoretical powder diffraction line list
Compound: Sr3Co2O6
Radiation: Cu Kα
Structure: a structure optimized by DFT (GGA+U)

Atomic structure:
```
Sr3Co2O6
1.0
-1.946 5.719 10.211
1.946 -5.719 10.211
1.946 5.719 -10.211
Sr Co O
9 6 18
Cartesian
0.000 0.000 0.000 Sr
1.946 -1.925 6.533 Sr
0.000 0.000 3.869 Sr
0.000 3.617 0.000 Sr
1.946 1.925 6.533 Sr
0.000 3.794 3.678 Sr
0.000 7.821 0.000 Sr
0.000 0.000 16.554 Sr
0.000 7.644 3.678 Sr
1.946 1.904 -1.980 Co
1.946 1.904 1.980 Co
0.000 0.000 8.212 Co
0.000 0.000 12.211 Co
0.000 3.815 8.231 Co
0.000 3.815 12.191 Co
1.946 -1.844 3.939 O
1.946 -4.009 8.232 O
1.946 1.665 0.000 O
0.000 1.710 1.979 O
1.946 3.930 -1.761 O
0.000 0.000 6.245 O
1.946 1.844 3.939 O
1.946 0.000 8.518 O
1.946 3.930 1.761 O
0.000 1.789 8.451 O
0.000 5.719 1.693 O
0.000 3.875 6.272 O
0.000 0.000 14.178 O
0.000 1.789 11.972 O
1.946 4.009 8.232 O
0.000 4.054 10.211 O
0.000 9.728 1.979 O
0.000 7.563 6.272 O
```

Principal peaks in the range 15° ≤ 2θ ≤ 90°, in order of falling intensity:
d (Å)	I/Imax
2.723	100
2.787	81
2.817	73
1.946	30
1.595	30
2.127	26
1.906	26
1.579	25
1.634	25
2.042	21